No. 1
This entry pairs a crystal structure of KHPdF6 with its calculated powder X-ray diffraction pattern. Radiation: Cu Kα X-rays. Structure: DFT lattice parameters and positions (GGA-PBE).
Peak positions follow from Bragg's law for the DFT cell and can differ from measured ones.

Peak list (8 most intense, 2θ = 10–90°, low angle first)
2θ 17.09, I 100; 2θ 21.24, I 69; 2θ 21.80, I 59; 2θ 26.06, I 28; 2θ 26.24, I 34; 2θ 26.96, I 37; 2θ 37.41, I 35; 2θ 42.15, I 32

Crystal structure
```
data_KHPdF6
_space_group_name_H-M_alt 'P 1'
_space_group_IT_number 1
_cell_length_a 4.759
_cell_length_b 5.355
_cell_length_c 5.615
_cell_angle_alpha 75.86
_cell_angle_beta 71.60
_cell_angle_gamma 85.21
loop_
_space_group_symop_operation_xyz
'x,y,z'
loop_
_atom_site_label
_atom_site_type_symbol
_atom_site_fract_x
_atom_site_fract_y
_atom_site_fract_z
_atom_site_occupancy
K1 K 0.000 0.000 0.000 1
H1 H 0.076 0.335 0.382 1
Pd1 Pd 0.504 0.524 0.513 1
F1 F 0.148 0.630 0.736 1
F2 F 0.261 0.252 0.468 1
F3 F 0.444 0.759 0.208 1
F4 F 0.563 0.278 0.812 1
F5 F 0.716 0.793 0.545 1
F6 F 0.889 0.401 0.285 1
```

No. 2
This entry pairs a crystal structure of K2PmHF6 with its calculated powder X-ray diffraction pattern. Radiation: Cu Kα X-rays. Structure: DFT lattice parameters and positions (GGA-PBE).
Peak positions follow from Bragg's law for the DFT cell and can differ from measured ones.

Peak list (8 most intense, 2θ = 10–90°, low angle first)
2θ 14.88, I 97; 2θ 15.31, I 85; 2θ 16.22, I 93; 2θ 25.29, I 87; 2θ 25.62, I 85; 2θ 26.60, I 100; 2θ 27.27, I 97; 2θ 39.45, I 66

Crystal structure
```
data_K2PmHF6
_space_group_name_H-M_alt 'P 1'
_space_group_IT_number 1
_cell_length_a 4.100
_cell_length_b 6.400
_cell_length_c 6.780
_cell_angle_alpha 64.83
_cell_angle_beta 75.80
_cell_angle_gamma 86.48
loop_
_space_group_symop_operation_xyz
'x,y,z'
loop_
_atom_site_label
_atom_site_type_symbol
_atom_site_fract_x
_atom_site_fract_y
_atom_site_fract_z
_atom_site_occupancy
K1 K 0.097 0.113 0.189 1
K2 K 0.903 0.887 0.811 1
Pm1 Pm 0.500 0.500 0.500 1
H1 H 0.500 0.500 0.000 1
F1 F 0.019 0.319 0.461 1
F2 F 0.376 0.561 0.851 1
F3 F 0.387 0.144 0.788 1
F4 F 0.613 0.856 0.212 1
F5 F 0.624 0.439 0.149 1
F6 F 0.981 0.681 0.539 1
```

No. 3
This entry pairs a crystal structure of KPuH2F8 with its calculated powder X-ray diffraction pattern. Radiation: Cu Kα X-rays. Structure: DFT lattice parameters and positions (GGA-PBE).
Peak positions follow from Bragg's law for the DFT cell and can differ from measured ones.

Peak list (8 most intense, 2θ = 10–90°, low angle first)
2θ 11.04, I 100; 2θ 18.66, I 45; 2θ 19.22, I 40; 2θ 20.63, I 19; 2θ 20.88, I 29; 2θ 22.18, I 71; 2θ 22.79, I 21; 2θ 27.46, I 34

Crystal structure
```
data_KPuH2F8
_space_group_name_H-M_alt 'P 1'
_space_group_IT_number 1
_cell_length_a 4.896
_cell_length_b 5.027
_cell_length_c 8.108
_cell_angle_alpha 94.23
_cell_angle_beta 95.97
_cell_angle_gamma 107.87
loop_
_space_group_symop_operation_xyz
'x,y,z'
loop_
_atom_site_label
_atom_site_type_symbol
_atom_site_fract_x
_atom_site_fract_y
_atom_site_fract_z
_atom_site_occupancy
K1 K 0.000 0.000 0.000 1
Pu1 Pu 0.000 0.000 0.500 1
H1 H 0.326 0.542 0.826 1
H2 H 0.674 0.458 0.174 1
F1 F 0.205 0.220 0.320 1
F2 F 0.257 0.271 0.716 1
F3 F 0.262 0.757 0.502 1
F4 F 0.353 0.696 0.914 1
F5 F 0.647 0.304 0.086 1
F6 F 0.738 0.243 0.498 1
F7 F 0.743 0.729 0.284 1
F8 F 0.795 0.780 0.680 1
```

No. 4
This entry pairs a crystal structure of KHRuF6 with its calculated powder X-ray diffraction pattern. Radiation: Cu Kα X-rays. Structure: DFT lattice parameters and positions (GGA-PBE).
Peak positions follow from Bragg's law for the DFT cell and can differ from measured ones.

Peak list (8 most intense, 2θ = 10–90°, low angle first)
2θ 16.28, I 100; 2θ 17.33, I 94; 2θ 21.56, I 88; 2θ 22.37, I 89; 2θ 24.04, I 90; 2θ 25.27, I 80; 2θ 26.07, I 57; 2θ 39.61, I 52

Crystal structure
```
data_KHRuF6
_space_group_name_H-M_alt 'P 1'
_space_group_IT_number 1
_cell_length_a 4.912
_cell_length_b 5.389
_cell_length_c 5.492
_cell_angle_alpha 95.78
_cell_angle_beta 92.70
_cell_angle_gamma 106.95
loop_
_space_group_symop_operation_xyz
'x,y,z'
loop_
_atom_site_label
_atom_site_type_symbol
_atom_site_fract_x
_atom_site_fract_y
_atom_site_fract_z
_atom_site_occupancy
K1 K 0.000 0.000 0.000 1
H1 H 0.113 0.576 0.321 1
Ru1 Ru 0.577 0.425 0.512 1
F1 F 0.257 0.183 0.629 1
F2 F 0.292 0.494 0.252 1
F3 F 0.538 0.720 0.709 1
F4 F 0.610 0.149 0.280 1
F5 F 0.830 0.383 0.771 1
F6 F 0.930 0.662 0.364 1
```

No. 5
This entry pairs a crystal structure of K3SnHF8 with its calculated powder X-ray diffraction pattern. Radiation: Cu Kα X-rays. Structure: DFT lattice parameters and positions (GGA-PBE).
Peak positions follow from Bragg's law for the DFT cell and can differ from measured ones.

Peak list (8 most intense, 2θ = 10–90°, low angle first)
2θ 16.75, I 88; 2θ 19.91, I 49; 2θ 20.96, I 78; 2θ 25.68, I 80; 2θ 26.03, I 100; 2θ 27.52, I 79; 2θ 27.85, I 96; 2θ 46.69, I 50

Crystal structure
```
data_K3SnHF8
_space_group_name_H-M_alt 'P 1'
_space_group_IT_number 1
_cell_length_a 8.496
_cell_length_b 8.496
_cell_length_c 6.957
_cell_angle_alpha 92.30
_cell_angle_beta 92.30
_cell_angle_gamma 116.49
loop_
_space_group_symop_operation_xyz
'x,y,z'
loop_
_atom_site_label
_atom_site_type_symbol
_atom_site_fract_x
_atom_site_fract_y
_atom_site_fract_z
_atom_site_occupancy
K1 K 0.166 0.834 0.750 1
K2 K 0.182 0.372 0.784 1
K3 K 0.372 0.182 0.284 1
K4 K 0.628 0.818 0.716 1
K5 K 0.818 0.628 0.216 1
K6 K 0.834 0.166 0.250 1
Sn1 Sn 0.326 0.674 0.250 1
Sn2 Sn 0.674 0.326 0.750 1
H1 H 0.000 0.000 0.000 1
H2 H 0.000 0.000 0.500 1
F1 F 0.091 0.144 0.473 1
F2 F 0.106 0.456 0.164 1
F3 F 0.144 0.091 0.973 1
F4 F 0.187 0.813 0.250 1
F5 F 0.279 0.633 0.530 1
F6 F 0.367 0.721 0.970 1
F7 F 0.456 0.106 0.664 1
F8 F 0.464 0.536 0.250 1
F9 F 0.536 0.464 0.750 1
F10 F 0.544 0.894 0.336 1
F11 F 0.633 0.279 0.030 1
F12 F 0.721 0.367 0.470 1
F13 F 0.813 0.187 0.750 1
F14 F 0.856 0.909 0.027 1
F15 F 0.894 0.544 0.836 1
F16 F 0.909 0.856 0.527 1
```

What did the third record say?
This entry pairs a crystal structure of KPuH2F8 with its calculated powder X-ray diffraction pattern. Radiation: Cu Kα X-rays. Structure: DFT lattice parameters and positions (GGA-PBE).
Peak positions follow from Bragg's law for the DFT cell and can differ from measured ones.

Peak list (8 most intense, 2θ = 10–90°, low angle first)
2θ 11.04, I 100; 2θ 18.66, I 45; 2θ 19.22, I 40; 2θ 20.63, I 19; 2θ 20.88, I 29; 2θ 22.18, I 71; 2θ 22.79, I 21; 2θ 27.46, I 34

Crystal structure
```
data_KPuH2F8
_space_group_name_H-M_alt 'P 1'
_space_group_IT_number 1
_cell_length_a 4.896
_cell_length_b 5.027
_cell_length_c 8.108
_cell_angle_alpha 94.23
_cell_angle_beta 95.97
_cell_angle_gamma 107.87
loop_
_space_group_symop_operation_xyz
'x,y,z'
loop_
_atom_site_label
_atom_site_type_symbol
_atom_site_fract_x
_atom_site_fract_y
_atom_site_fract_z
_atom_site_occupancy
K1 K 0.000 0.000 0.000 1
Pu1 Pu 0.000 0.000 0.500 1
H1 H 0.326 0.542 0.826 1
H2 H 0.674 0.458 0.174 1
F1 F 0.205 0.220 0.320 1
F2 F 0.257 0.271 0.716 1
F3 F 0.262 0.757 0.502 1
F4 F 0.353 0.696 0.914 1
F5 F 0.647 0.304 0.086 1
F6 F 0.738 0.243 0.498 1
F7 F 0.743 0.729 0.284 1
F8 F 0.795 0.780 0.680 1
```